Entry 1:
Starting from a cell relaxed with GGA-PBE, the XRD peak list of CaVAg was simulated for λ = 1.5418 Å (Cu Kα).
Kinematic intensities with the Lorentz-polarization factor, no thermal factor.

Structural model:
Cell: 3.3563 3.3563 11.1719 Å, 90.00 90.00 90.00°
Atoms (fractional coordinates):
Ca  0.2500  0.2500  0.2415
Ca  0.7500  0.7500  0.7585
V  0.2500  0.2500  0.9613
V  0.7500  0.7500  0.0387
Ag  0.2500  0.2500  0.5737
Ag  0.7500  0.7500  0.4263

Top 10 peaks for 2θ = 5–70°, most intense first:
two_theta  I (rel.)
36.02  100
37.91  52
7.91  51
67.25  28
15.87  27
31.09  22
54.69  17
48.95  15
63.50  10
41.33  10

=====

Entry 2:
Starting from a cell relaxed with GGA-PBE, the XRD peak list of La3Pr4Tl was simulated for λ = 1.5418 Å (Cu Kα).
Kinematic intensities with the Lorentz-polarization factor, no thermal factor.

Structural model:
Cell: 7.3171 7.2213 10.2841 Å, 90.00 90.00 90.00°
Atoms (fractional coordinates):
La  0.0000  0.0015  0.0000
La  0.2500  0.2621  0.7497
La  0.2500  0.7379  0.2497
La  0.5000  0.9985  0.5000
La  0.7500  0.2621  0.7497
La  0.7500  0.7379  0.2497
Pr  0.0000  0.0000  0.5000
Pr  0.0000  0.5007  0.5000
Pr  0.2500  0.2635  0.2504
Pr  0.2500  0.7365  0.7504
Pr  0.5000  0.0000  0.0000
Pr  0.5000  0.4993  0.0000
Pr  0.7500  0.2635  0.2504
Pr  0.7500  0.7365  0.7504
Tl  0.0000  0.5006  0.0000
Tl  0.5000  0.4994  0.5000

Top 10 peaks for 2θ = 5–70°, most intense first:
two_theta  I (rel.)
29.98  100
34.91  99
30.25  96
50.19  47
59.43  28
59.90  27
59.56  14
59.72  14
62.29  12
49.85  12

=====

Entry 3:
Starting from a cell relaxed with GGA-PBE, the XRD peak list of Cu3MoBr9 was simulated for λ = 1.5418 Å (Cu Kα).
Kinematic intensities with the Lorentz-polarization factor, no thermal factor.

Structural model:
Cell: 9.7611 9.7611 13.3284 Å, 123.26 123.26 58.43°
Atoms (fractional coordinates):
Cu  0.0523  0.9477  0.5000
Cu  0.2911  0.5721  0.6205
Cu  0.4581  0.7647  0.3708
Cu  0.5721  0.2911  0.1205
Cu  0.7647  0.4581  0.8708
Cu  0.9477  0.0523  0.0000
Mo  0.1084  0.4672  0.7946
Mo  0.4672  0.1084  0.2946
Br  0.0151  0.5457  0.9665
Br  0.0152  0.7675  0.5435
Br  0.1176  0.7674  0.8788
Br  0.1503  0.1526  0.7242
Br  0.1526  0.1503  0.2242
Br  0.1767  0.8439  0.3479
Br  0.2189  0.3685  0.6229
Br  0.3685  0.2189  0.1229
Br  0.4078  0.4271  0.4494
Br  0.4271  0.4078  0.9494
Br  0.5147  0.6773  0.8158
Br  0.5391  0.8111  0.1487
Br  0.5457  0.0151  0.4665
Br  0.6773  0.5147  0.3158
Br  0.7675  0.0152  0.0435
Br  0.7674  0.1176  0.3788
Br  0.8111  0.5391  0.6487
Br  0.8439  0.1767  0.8479

Top 10 peaks for 2θ = 5–70°, most intense first:
two_theta  I (rel.)
16.62  100
11.48  58
28.08  50
28.41  44
27.72  37
22.43  37
28.92  36
22.18  21
18.74  21
28.12  20

=====

Entry 4:
Starting from a cell relaxed with GGA-PBE, the XRD peak list of Pa3Tc5P2 was simulated for λ = 1.5418 Å (Cu Kα).
Kinematic intensities with the Lorentz-polarization factor, no thermal factor.

Structural model:
Cell: 8.6871 8.6871 8.6871 Å, 109.27 83.92 140.90°
Atoms (fractional coordinates):
Pa  0.1360  0.7309  0.8670
Pa  0.2500  0.2500  0.0000
Pa  0.3640  0.2309  0.5949
Pa  0.6360  0.7691  0.4051
Pa  0.7500  0.7500  0.0000
Pa  0.8640  0.2691  0.1330
Tc  0.0068  0.7500  0.2568
Tc  0.1198  0.3617  0.4816
Tc  0.2500  0.7500  0.5000
Tc  0.3802  0.8617  0.2419
Tc  0.4932  0.7500  0.7432
Tc  0.5068  0.2500  0.2568
Tc  0.6198  0.1383  0.7581
Tc  0.7500  0.2500  0.5000
Tc  0.8802  0.6383  0.5184
Tc  0.9932  0.2500  0.7432
P  0.1525  0.1319  0.2844
P  0.3475  0.6319  0.9794
P  0.6525  0.3681  0.0206
P  0.8475  0.8681  0.7156

Top 10 peaks for 2θ = 5–70°, most intense first:
two_theta  I (rel.)
35.68  100
32.96  99
41.80  76
33.84  61
22.41  53
50.02  33
69.11  26
56.12  25
64.09  20
57.01  16

=====

Entry 5:
Starting from a cell relaxed with GGA-PBE, the XRD peak list of RuBrCl3 was simulated for λ = 1.5418 Å (Cu Kα).
Kinematic intensities with the Lorentz-polarization factor, no thermal factor.

Structural model:
Cell: 8.3608 8.3608 6.1125 Å, 102.57 102.57 127.45°
Atoms (fractional coordinates):
Ru  0.0652  0.9348  0.5000
Ru  0.9348  0.0652  0.0000
Br  0.5928  0.9416  0.0096
Br  0.9416  0.5928  0.5096
Cl  0.0551  0.3881  0.9914
Cl  0.1445  0.2535  0.4442
Cl  0.2535  0.1445  0.9442
Cl  0.3881  0.0551  0.4914
Cl  0.7474  0.8546  0.5567
Cl  0.8546  0.7474  0.0567

Top 10 peaks for 2θ = 5–70°, most intense first:
two_theta  I (rel.)
14.96  100
34.19  61
20.46  51
33.67  37
23.67  22
11.80  22
46.30  21
16.62  20
51.11  18
43.10  11

=====

Entry 6:
Starting from a cell relaxed with GGA-PBE, the XRD peak list of Nd12Cd6Sn was simulated for λ = 1.5418 Å (Cu Kα).
Kinematic intensities with the Lorentz-polarization factor, no thermal factor.

Structural model:
Cell: 8.3077 8.3077 8.3077 Å, 88.88 88.88 88.88°
Atoms (fractional coordinates):
Nd  0.0210  0.9420  0.3098
Nd  0.0580  0.6902  0.9790
Nd  0.1252  0.4419  0.3719
Nd  0.3098  0.0210  0.9420
Nd  0.3719  0.1252  0.4419
Nd  0.4419  0.3719  0.1252
Nd  0.5581  0.6281  0.8748
Nd  0.6281  0.8748  0.5581
Nd  0.6902  0.9790  0.0580
Nd  0.8748  0.5581  0.6281
Nd  0.9420  0.3098  0.0210
Nd  0.9790  0.0580  0.6902
Cd  0.2392  0.3855  0.7603
Cd  0.2397  0.7608  0.6145
Cd  0.3855  0.7603  0.2392
Cd  0.6145  0.2397  0.7608
Cd  0.7603  0.2392  0.3855
Cd  0.7608  0.6145  0.2397
Sn  0.5000  0.5000  0.5000

Top 10 peaks for 2θ = 5–70°, most intense first:
two_theta  I (rel.)
34.34  100
32.62  98
32.34  87
31.77  74
33.94  62
60.42  32
56.28  23
35.93  19
35.41  17
26.54  16

=====

Entry 7:
Starting from a cell relaxed with GGA-PBE, the XRD peak list of Th4RuAu3 was simulated for λ = 1.5418 Å (Cu Kα).
Kinematic intensities with the Lorentz-polarization factor, no thermal factor.

Structural model:
Cell: 7.8544 8.8737 6.7964 Å, 90.00 111.98 90.00°
Atoms (fractional coordinates):
Th  0.2212  0.1136  0.0014
Th  0.2212  0.8864  0.5014
Th  0.2363  0.3590  0.4872
Th  0.2363  0.6410  0.9872
Th  0.7637  0.3590  0.0128
Th  0.7637  0.6410  0.5128
Th  0.7788  0.1136  0.4986
Th  0.7788  0.8864  0.9986
Ru  0.0000  0.1289  0.2500
Ru  0.0000  0.8711  0.7500
Au  0.0000  0.3800  0.7500
Au  0.0000  0.6200  0.2500
Au  0.5000  0.1219  0.7500
Au  0.5000  0.3761  0.2500
Au  0.5000  0.6239  0.7500
Au  0.5000  0.8781  0.2500

Top 10 peaks for 2θ = 5–70°, most intense first:
two_theta  I (rel.)
29.77  100
39.99  28
45.09  22
51.19  14
40.67  14
66.39  11
44.51  11
61.86  8
50.09  7
67.36  6

=====

Entry 8:
Starting from a cell relaxed with GGA-PBE, the XRD peak list of AsS was simulated for λ = 1.5418 Å (Cu Kα).
Kinematic intensities with the Lorentz-polarization factor, no thermal factor.

Structural model:
Cell: 7.2087 7.2087 10.2684 Å, 99.70 99.70 78.08°
Atoms (fractional coordinates):
As  0.1946  0.7629  0.5757
As  0.2371  0.8054  0.9243
As  0.2693  0.4254  0.6611
As  0.4254  0.2693  0.1611
As  0.5746  0.7307  0.8389
As  0.7307  0.5746  0.3389
As  0.7629  0.1946  0.0757
As  0.8054  0.2371  0.4243
S  0.0599  0.9401  0.7500
S  0.1542  0.5152  0.8577
S  0.4217  0.5783  0.2500
S  0.4848  0.8458  0.6423
S  0.5152  0.1542  0.3577
S  0.5783  0.4217  0.7500
S  0.8458  0.4848  0.1423
S  0.9401  0.0599  0.2500

Top 10 peaks for 2θ = 5–70°, most intense first:
two_theta  I (rel.)
14.42  100
16.44  47
26.35  45
20.33  37
29.07  35
16.22  35
39.84  34
26.49  28
27.96  27
28.20  25

=====

Entry 9:
Starting from a cell relaxed with GGA-PBE, the XRD peak list of NiSb2RuN was simulated for λ = 1.5418 Å (Cu Kα).
Kinematic intensities with the Lorentz-polarization factor, no thermal factor.

Structural model:
Cell: 4.8638 4.8638 3.7513 Å, 90.00 90.00 90.00°
Atoms (fractional coordinates):
Ni  0.0000  0.0000  0.0000
Sb  0.0000  0.5000  0.5000
Sb  0.5000  0.0000  0.5000
Ru  0.5000  0.5000  0.0000
N  0.5000  0.5000  0.5000

Top 10 peaks for 2θ = 5–70°, most intense first:
two_theta  I (rel.)
35.41  100
36.96  51
65.60  32
62.54  21
53.27  17
48.54  11
18.24  5
23.72  3
44.39  2
25.91  2

=====

Entry 10:
Starting from a cell relaxed with GGA-PBE, the XRD peak list of DyPd3Au2 was simulated for λ = 1.5418 Å (Cu Kα).
Kinematic intensities with the Lorentz-polarization factor, no thermal factor.

Structural model:
Cell: 4.0803 8.8018 5.9228 Å, 90.00 90.00 90.00°
Atoms (fractional coordinates):
Dy  0.0000  0.1731  0.0000
Dy  0.0000  0.8269  0.5000
Pd  0.0000  0.4912  0.9861
Pd  0.0000  0.5088  0.4861
Pd  0.5000  0.0013  0.7485
Pd  0.5000  0.3332  0.2465
Pd  0.5000  0.6668  0.7465
Pd  0.5000  0.9987  0.2485
Au  0.0000  0.1680  0.4948
Au  0.0000  0.8320  0.9948
Au  0.5000  0.3445  0.7309
Au  0.5000  0.6555  0.2309

Top 10 peaks for 2θ = 5–70°, most intense first:
two_theta  I (rel.)
37.53  100
37.77  97
43.42  65
63.84  42
44.40  31
62.75  11
63.41  10
24.04  6
18.05  4
33.56  4

=====

Entry 11:
Starting from a cell relaxed with GGA-PBE, the XRD peak list of Ho4TlInO was simulated for λ = 1.5418 Å (Cu Kα).
Kinematic intensities with the Lorentz-polarization factor, no thermal factor.

Structural model:
Cell: 8.8048 8.8048 6.5327 Å, 90.00 90.00 136.46°
Atoms (fractional coordinates):
Ho  0.0000  0.5000  0.0000
Ho  0.0000  0.5000  0.5000
Ho  0.0793  0.9207  0.7500
Ho  0.4197  0.5803  0.7500
Ho  0.5000  0.0000  0.0000
Ho  0.5000  0.0000  0.5000
Ho  0.5803  0.4197  0.2500
Ho  0.9207  0.0793  0.2500
Tl  0.1108  0.8892  0.2500
Tl  0.8892  0.1108  0.7500
In  0.3886  0.6114  0.2500
In  0.6114  0.3886  0.7500
O  0.2501  0.7499  0.7500
O  0.7499  0.2501  0.2500

Top 10 peaks for 2θ = 5–70°, most intense first:
two_theta  I (rel.)
35.17  100
29.45  84
39.00  66
51.89  41
32.86  37
68.18  30
56.34  23
33.57  21
27.31  20
66.78  19

=====

Entry 12:
Starting from a cell relaxed with GGA-PBE, the XRD peak list of NdGa3Rh was simulated for λ = 1.5418 Å (Cu Kα).
Kinematic intensities with the Lorentz-polarization factor, no thermal factor.

Structural model:
Cell: 4.3156 4.3156 5.3074 Å, 90.00 90.00 90.00°
Atoms (fractional coordinates):
Nd  0.0000  0.0000  0.0000
Ga  0.0000  0.5000  0.4847
Ga  0.5000  0.0000  0.4847
Ga  0.5000  0.5000  0.7850
Rh  0.5000  0.5000  0.2454

Top 10 peaks for 2θ = 5–70°, most intense first:
two_theta  I (rel.)
33.88  100
39.88  67
41.87  64
59.20  41
26.62  33
29.27  24
60.70  21
45.29  15
60.49  12
50.31  11